# 1
Cr2NiO4: theoretical X-ray diffraction stick pattern (Cu Kα (λ = 1.5418 Å)), based on a DFT-relaxed cell (GGA+U, the Materials Project).
Lines closer than 0.1° are merged.

Cell and atoms:
Lattice parameters (Å, degrees): 6.012 6.012 5.848 118.89 118.89 58.49
Atoms (fractional coordinates):
Cr: 0.000 0.000 0.000
Cr: 0.000 0.000 0.500
Cr: 0.000 0.500 0.000
Cr: 0.500 0.000 0.000
Ni: 0.375 0.375 0.625
Ni: 0.625 0.625 0.375
O: 0.219 0.744 0.232
O: 0.231 0.231 0.745
O: 0.232 0.232 0.218
O: 0.256 0.781 0.768
O: 0.744 0.219 0.232
O: 0.768 0.768 0.782
O: 0.769 0.769 0.255
O: 0.781 0.256 0.768

The 6 most intense peaks (10 to 90 degrees two-theta), in order of falling intensity:
d (Å)  2θ (°)  Rel. int.
2.513  35.7  100
3.007  29.7  48
2.610  34.4  45
2.505  35.8  33
1.506  61.6  29
1.501  61.8  28

=====

# 2
Li2MnVP3O12: theoretical X-ray diffraction stick pattern (Cu Kα (λ = 1.5418 Å)), based on a DFT-relaxed cell (GGA+U, the Materials Project).
Lines closer than 0.1° are merged.

Cell and atoms:
Lattice parameters (Å, degrees): 8.290 8.337 8.864 63.29 89.32 60.88
Atoms (fractional coordinates):
Li: 0.182 0.397 0.360
Li: 0.235 0.941 0.626
Li: 0.765 0.059 0.374
Li: 0.818 0.603 0.640
Mn: 0.355 0.284 0.065
Mn: 0.645 0.716 0.935
V: 0.160 0.694 0.452
V: 0.840 0.306 0.548
P: 0.040 0.208 0.246
P: 0.240 0.219 0.742
P: 0.466 0.505 0.244
P: 0.534 0.495 0.756
P: 0.760 0.781 0.258
P: 0.960 0.792 0.754
O: 0.020 0.306 0.692
O: 0.026 0.006 0.322
O: 0.030 0.259 0.402
O: 0.118 0.611 0.917
O: 0.244 0.146 0.230
O: 0.269 0.387 0.589
O: 0.288 0.202 0.915
O: 0.333 0.673 0.620
O: 0.334 0.650 0.314
O: 0.358 0.008 0.746
O: 0.380 0.380 0.235
O: 0.482 0.640 0.067
O: 0.518 0.360 0.933
O: 0.620 0.620 0.765
O: 0.642 0.992 0.254
O: 0.666 0.350 0.686
O: 0.667 0.327 0.380
O: 0.712 0.798 0.085
O: 0.731 0.613 0.411
O: 0.756 0.854 0.770
O: 0.882 0.389 0.083
O: 0.970 0.741 0.598
O: 0.974 0.994 0.678
O: 0.980 0.694 0.308

The 6 most intense peaks (10 to 90 degrees two-theta), in order of falling intensity:
d (Å)  2θ (°)  Rel. int.
3.611  24.7  100
6.274  14.1  56
6.006  14.7  53
4.583  19.4  47
4.484  19.8  44
3.766  23.6  44

=====

# 3
LaMgCrFeO6: theoretical X-ray diffraction stick pattern (Cu Kα (λ = 1.5418 Å)), based on a DFT-relaxed cell (GGA+U, the Materials Project).
Lines closer than 0.1° are merged.

Cell and atoms:
Lattice parameters (Å, degrees): 5.349 5.498 9.299 90.00 124.88 90.00
Atoms (fractional coordinates):
La: 0.000 0.216 0.000
La: 0.000 0.784 0.500
Mg: 0.542 0.305 0.502
Mg: 0.542 0.695 0.002
Cr: 0.258 0.255 0.748
Cr: 0.258 0.745 0.248
Fe: 0.761 0.247 0.252
Fe: 0.761 0.753 0.752
O: 0.149 0.231 0.509
O: 0.149 0.769 0.009
O: 0.428 0.292 0.995
O: 0.428 0.708 0.495
O: 0.507 0.042 0.310
O: 0.507 0.958 0.810
O: 0.588 0.483 0.807
O: 0.588 0.517 0.307
O: 0.896 0.052 0.692
O: 0.896 0.948 0.192
O: 0.985 0.487 0.198
O: 0.985 0.513 0.698

The 6 most intense peaks (10 to 90 degrees two-theta), in order of falling intensity:
d (Å)  2θ (°)  Rel. int.
2.708  33.1  100
2.700  33.2  98
4.380  20.3  66
4.461  19.9  65
1.917  47.4  57
2.749  32.6  46

=====

# 4
ScMn3Bi4O12: theoretical X-ray diffraction stick pattern (Cu Kα (λ = 1.5418 Å)), based on a DFT-relaxed cell (GGA+U, the Materials Project).
Lines closer than 0.1° are merged.

Cell and atoms:
Lattice parameters (Å, degrees): 5.654 5.654 9.947 106.44 106.44 61.60
Atoms (fractional coordinates):
Sc: 0.000 0.000 0.000
Mn: 0.269 0.220 0.751
Mn: 0.565 0.435 0.500
Mn: 0.780 0.731 0.249
Bi: 0.130 0.154 0.378
Bi: 0.429 0.309 0.130
Bi: 0.691 0.571 0.870
Bi: 0.846 0.870 0.622
O: 0.032 0.138 0.829
O: 0.050 0.633 0.871
O: 0.204 0.512 0.380
O: 0.367 0.950 0.129
O: 0.488 0.796 0.620
O: 0.500 0.292 0.667
O: 0.563 0.123 0.915
O: 0.675 0.033 0.414
O: 0.708 0.500 0.333
O: 0.862 0.968 0.171
O: 0.877 0.437 0.085
O: 0.967 0.325 0.586

The 6 most intense peaks (10 to 90 degrees two-theta), in order of falling intensity:
d (Å)  2θ (°)  Rel. int.
2.877  31.1  100
2.826  31.7  93
4.058  21.9  72
1.658  55.4  48
2.845  31.4  47
2.029  44.7  45

=====

# 5
Li6FeCoP2C2O14: theoretical X-ray diffraction stick pattern (Cu Kα (λ = 1.5418 Å)), based on a DFT-relaxed cell (GGA+U, the Materials Project).
Lines closer than 0.1° are merged.

Cell and atoms:
Lattice parameters (Å, degrees): 4.987 6.415 8.397 90.00 94.59 90.00
Atoms (fractional coordinates):
Li: 0.000 0.000 0.000
Li: 0.013 0.272 0.628
Li: 0.013 0.728 0.628
Li: 0.516 0.229 0.180
Li: 0.516 0.771 0.180
Li: 0.528 0.500 0.808
Fe: 0.560 0.000 0.575
Co: 0.970 0.500 0.239
P: 0.045 0.000 0.318
P: 0.484 0.500 0.491
C: 0.062 0.500 0.941
C: 0.466 0.000 0.867
O: 0.123 0.500 0.793
O: 0.170 0.500 0.470
O: 0.254 0.500 0.056
O: 0.276 0.000 0.750
O: 0.359 0.000 0.339
O: 0.406 0.000 0.014
O: 0.589 0.312 0.595
O: 0.589 0.688 0.595
O: 0.590 0.500 0.323
O: 0.713 0.000 0.829
O: 0.815 0.500 0.977
O: 0.937 0.000 0.485
O: 0.939 0.187 0.213
O: 0.939 0.813 0.213

The 6 most intense peaks (10 to 90 degrees two-theta), in order of falling intensity:
d (Å)  2θ (°)  Rel. int.
3.208  27.8  100
8.371  10.6  86
4.131  21.5  53
4.432  20.0  38
3.336  26.7  35
5.092  17.4  29